No. 1
Starting from DFT lattice parameters and positions (PBE), the X-ray powder pattern of AcLa2Pm6Ho was computed for λ = 1.5418 Å (Cu Kα).
No peak broadening, texture or thermal motion is included.

Structural model:
a = 9.337 Å, b = 15.607 Å, c = 9.950 Å
α = 90.00°, β = 96.89°, γ = 90.00°
Space group C2/c (No. 15)
One atom of each set of equivalent atoms:
Ac 0.000 0.019 0.250 x4
La 0.245 0.444 0.456 x8
Pm 0.065 0.193 0.944 x8
Pm 0.103 0.395 0.118 x8
Pm 0.207 0.224 0.310 x8
Ho 0.000 0.408 0.750 x4

The 10 most intense peaks (2θ = 10–90°), by angle:
d [Å]  I_rel  hkl
3.271  16  2 2 -2
3.247  32  1 3 2
3.034  36  0 2 3
2.998  43  3 1 -1
2.957  100  2 2 2
2.921  28  2 4 -1
2.864  13  1 5 -1
2.743  38  1 3 -3
1.755  14  4 2 -4
1.687  11  5 3 1

=====

No. 2
Starting from DFT lattice parameters and positions (PBE), the X-ray powder pattern of Pm2GaB2Ir5 was computed for λ = 1.5418 Å (Cu Kα).
No peak broadening, texture or thermal motion is included.

Structural model:
a = 9.725 Å, b = 9.725 Å, c = 3.214 Å
α = 90.00°, β = 90.00°, γ = 90.00°
Space group P4/mbm (No. 127)
One atom of each set of equivalent atoms:
Pm 0.178 0.322 0.000 x4
Ga 0.000 0.000 0.000 x2
B 0.121 0.621 0.000 x4
Ir 0.000 0.500 0.500 x2
Ir 0.068 0.778 0.500 x8

The 10 most intense peaks (2θ = 10–90°), by angle:
d [Å]  I_rel  hkl
3.214  34  0 0 1
2.697  26  3 2 0
2.585  88  2 1 1
2.359  100  4 1 0
2.348  40  2 2 1
2.222  96  3 1 1
2.175  44  4 2 0
2.066  48  3 2 1
1.373  28  5 4 1
1.328  33  4 1 2

=====

No. 3
Starting from DFT lattice parameters and positions (PBE), the X-ray powder pattern of CaSn2As2Pd7 was computed for λ = 1.5418 Å (Cu Kα).
No peak broadening, texture or thermal motion is included.

Structural model:
a = 6.209 Å, b = 6.158 Å, c = 11.527 Å
α = 90.00°, β = 90.08°, γ = 90.00°
Space group C2/m (No. 12)
One atom of each set of equivalent atoms:
Ca 0.000 0.000 0.000 x2
Sn 0.000 0.000 0.327 x4
As 0.001 0.500 0.301 x4
Pd 0.000 0.500 0.000 x2
Pd 0.222 0.500 0.500 x4
Pd 0.250 0.250 0.176 x8

The 10 most intense peaks (2θ = 10–90°), by angle:
d [Å]  I_rel  hkl
2.975  24  0 2 1
2.415  100  2 0 3
2.403  48  0 2 3
2.186  34  2 2 0
2.148  16  2 2 -1
2.044  31  2 2 2
1.921  22  0 0 6
1.845  18  0 2 5
1.540  15  0 4 0
1.298  27  2 4 3

=====

No. 4
Starting from DFT lattice parameters and positions (PBE), the X-ray powder pattern of Nd12AlIn6 was computed for λ = 1.5418 Å (Cu Kα).
No peak broadening, texture or thermal motion is included.

Structural model:
a = 11.6462 Å, b = 11.6462 Å, c = 14.6003 Å
α = 90.00°, β = 90.00°, γ = 120.00°
Space group R-3 (No. 148, hexagonal axes)
One atom of each set of equivalent atoms:
Nd 0.0655 0.1869 0.3130 x18
Nd 0.0662 0.8441 0.9108 x18
Al 0.0000 0.0000 0.5000 x3
In 0.0382 0.4478 0.2085 x18

The 10 most intense peaks (2θ = 10–90°), by angle:
d [Å]  I_rel  hkl
3.379  31  1 2 2
3.362  25  3 0 0
2.805  65  0 1 5
2.766  87  0 3 3
2.747  100  4 -3 1
2.636  64  3 -1 4
2.612  92  4 -1 2
2.527  24  2 0 5
1.632  27  5 -4 6
1.533  24  2 5 3

=====

No. 5
Starting from DFT lattice parameters and positions (PBE), the X-ray powder pattern of DyGa2Cu4 was computed for λ = 1.5418 Å (Cu Kα).
No peak broadening, texture or thermal motion is included.

Structural model:
a = 7.308 Å, b = 7.308 Å, c = 4.050 Å
α = 90.00°, β = 90.00°, γ = 90.00°
Space group P4_2/mnm (No. 136)
One atom of each set of equivalent atoms:
Dy 0.000 0.000 0.000 x2
Ga 0.212 0.212 0.500 x4
Cu 0.097 0.646 0.500 x8

The 10 most intense peaks (2θ = 10–90°), by angle:
d [Å]  I_rel  hkl
3.542  17  1 0 1
2.584  26  2 2 0
2.543  100  2 1 1
2.311  42  3 1 0
2.178  40  2 2 1
2.025  35  0 0 2
2.007  47  3 1 1
1.772  14  4 1 0
1.523  22  3 1 2
1.375  20  4 3 1

=====

No. 6
Starting from DFT lattice parameters and positions (PBE), the X-ray powder pattern of CeTl9Te6 was computed for λ = 1.5418 Å (Cu Kα).
No peak broadening, texture or thermal motion is included.

Structural model:
a = 9.022 Å, b = 9.022 Å, c = 13.556 Å
α = 90.00°, β = 90.00°, γ = 90.00°
Space group I4/m (No. 87)
One atom of each set of equivalent atoms:
Ce 0.000 0.000 0.000 x2
Tl 0.000 0.000 0.500 x2
Tl 0.145 0.650 0.342 x16
Te 0.000 0.000 0.236 x4
Te 0.150 0.673 0.000 x8

The 10 most intense peaks (2θ = 10–90°), by angle:
d [Å]  I_rel  hkl
3.010  100  1 2 3
2.993  13  1 1 4
2.853  52  3 1 0
2.258  15  0 0 6
2.018  10  2 4 0
1.969  12  4 1 3
1.771  15  3 1 6
1.596  12  4 4 0
1.571  22  2 5 3
1.548  9  3 3 6

=====

No. 7
Starting from DFT lattice parameters and positions (PBE), the X-ray powder pattern of Tc4Ir3Os2 was computed for λ = 1.5418 Å (Cu Kα).
No peak broadening, texture or thermal motion is included.

Structural model:
a = 12.546 Å, b = 9.199 Å, c = 4.719 Å
α = 90.00°, β = 99.94°, γ = 90.00°
Space group C2/c (No. 15)
One atom of each set of equivalent atoms:
Tc 0.061 0.109 0.056 x8
Tc 0.105 0.406 0.312 x8
Ir 0.000 0.336 0.750 x4
Ir 0.170 0.149 0.576 x8
Os 0.231 0.379 0.871 x8

The 10 most intense peaks (2θ = 10–90°), by angle:
d [Å]  I_rel  hkl
6.179  11  2 0 0
2.460  17  3 3 0
2.300  37  0 4 0
2.284  100  5 1 -1
2.121  74  4 2 1
1.869  46  1 3 -2
1.450  14  5 5 -1
1.300  15  6 2 -3
1.253  11  9 3 0
1.179  12  2 0 -4